This entry pairs a crystal structure of GaNiO with its computed PXRD pattern. Radiation: Cu Kα (weighted mean of Kα1 and Kα2). Structure: a GGA+U-relaxed structure.

Cell and atoms:
```
data_GaNiO
_chemical_formula_sum 'Ga4 Ni4 O4'
_space_group_name_H-M_alt 'A m m 2'
_space_group_IT_number 38
_cell_length_a 9.7310
_cell_length_b 2.8017
_cell_length_c 5.1328
_cell_angle_alpha 90.00
_cell_angle_beta 90.00
_cell_angle_gamma 90.00
loop_
_space_group_symop_operation_xyz
'x,y,z'
'-x,-y,z'
'-x,y,z'
'x,-y,z'
'x,y+1/2,z+1/2'
'-x,-y+1/2,z+1/2'
'-x,y+1/2,z+1/2'
'x,-y+1/2,z+1/2'
loop_
_atom_site_label
_atom_site_type_symbol
_atom_site_fract_x
_atom_site_fract_y
_atom_site_fract_z
Ga1 Ga 0.0000 0.0000 0.0000
Ga2 Ga 0.5000 0.0000 0.1069
Ni1 Ni 0.2050 0.0000 0.3110
O1 O 0.3763 0.0000 0.7861
```

Largest 8 diffraction maxima, low angle first, 10° ≤ 2θ ≤ 90°:
Position (°2θ)  I_rel
36.54  56
36.95  30
39.71  85
41.13  100
46.33  59
52.94  37
64.53  24
80.56  26

***

This entry pairs a crystal structure of GaNiP2O8 with its computed PXRD pattern. Radiation: Cu Kα (weighted mean of Kα1 and Kα2). Structure: a GGA+U-relaxed structure.

Cell and atoms:
```
data_GaNiP2O8
_chemical_formula_sum 'Ga2 Ni2 P4 O16'
_space_group_name_H-M_alt 'I -4 m 2'
_space_group_IT_number 119
_space_group_name_Hall 'I -4 -2'
_cell_length_a 6.4117
_cell_length_b 6.4117
_cell_length_c 5.8886
_cell_angle_alpha 90.00
_cell_angle_beta 90.00
_cell_angle_gamma 90.00
loop_
_atom_site_label
_atom_site_type_symbol
_atom_site_fract_x
_atom_site_fract_y
_atom_site_fract_z
Ga1 Ga 0.0000 0.0000 0.0000
Ni1 Ni 0.0000 0.5000 0.2500
P1 P 0.0000 0.0000 0.5000
P2 P 0.0000 0.5000 0.7500
O1 O 0.0000 0.1835 0.3279
O2 O 0.0000 0.3115 0.9147
```

Largest 8 diffraction maxima, low angle first, 10° ≤ 2θ ≤ 90°:
Position (°2θ)  I_rel
20.48  17
27.83  100
36.38  58
45.13  17
53.85  11
54.99  52
57.49  15
69.97  16